# Li3V3O8
Theoretical powder diffraction line list, CuKα. Input: a DFT-relaxed cell (GGA+U, Alexandria).
Kinematic intensities with the Lorentz-polarization factor, no thermal factor.

Cell and atoms:
```
data_Li3V3O8
_cell_length_a 5.906
_cell_length_b 6.002
_cell_length_c 8.289
_cell_angle_alpha 90.00
_cell_angle_beta 90.00
_cell_angle_gamma 90.00
_symmetry_space_group_name_H-M 'I m m 2'
_symmetry_Int_Tables_number 44
_symmetry_space_group_name_Hall 'I 2 -2'
loop_
_atom_site_label
_atom_site_fract_x
_atom_site_fract_y
_atom_site_fract_z
Li1 0.000 0.000 0.000
Li2 0.248 0.500 0.867
V1 0.000 0.265 0.644
V2 0.000 0.500 0.244
O1 0.000 0.254 0.849
O2 0.000 0.268 0.366
O3 0.216 0.500 0.621
O4 0.244 0.000 0.620
```

The 6 most intense peaks (2θ = 10–90°), by intensity:
- 35.25°, rel. 100, hkl 1 2 1
- 18.45°, rel. 77, hkl 1 0 1
- 21.44°, rel. 74, hkl 0 0 2
- 30.27°, rel. 71, hkl 2 0 0
- 62.94°, rel. 67, hkl 4 0 0
- 42.97°, rel. 44, hkl 2 2 0

# Li3V7O12
Theoretical powder diffraction line list, CuKα. Input: a DFT-relaxed cell (GGA+U, Alexandria).
Kinematic intensities with the Lorentz-polarization factor, no thermal factor.

Cell and atoms:
```
data_Li3V7O12
_cell_length_a 5.217
_cell_length_b 9.020
_cell_length_c 9.912
_cell_angle_alpha 90.00
_cell_angle_beta 100.80
_cell_angle_gamma 90.00
_symmetry_space_group_name_H-M 'C 1 2 1'
_symmetry_Int_Tables_number 5
_symmetry_space_group_name_Hall 'C 2y'
loop_
_atom_site_label
_atom_site_fract_x
_atom_site_fract_y
_atom_site_fract_z
Li1 0.000 0.000 0.000
Li2 0.239 0.005 0.766
V1 0.000 0.160 0.500
V2 0.000 0.342 0.000
V3 0.000 0.487 0.500
V4 0.000 0.681 0.000
V5 0.000 0.826 0.500
V6 0.242 0.158 0.238
O1 0.103 0.174 0.878
O2 0.105 0.652 0.385
O3 0.110 0.520 0.883
O4 0.126 0.001 0.387
O5 0.142 0.319 0.387
O6 0.148 0.829 0.882
```

The 6 most intense peaks (2θ = 10–90°), by intensity:
- 42.51°, rel. 100, hkl 1 3 -3
- 61.65°, rel. 53, hkl 3 3 -1
- 42.85°, rel. 50, hkl 2 0 2
- 18.22°, rel. 49, hkl 0 0 2
- 23.27°, rel. 32, hkl 1 1 1
- 62.28°, rel. 26, hkl 1 3 5

# Li3V2O6
Theoretical powder diffraction line list, CuKα. Input: a DFT-relaxed cell (GGA+U, Alexandria).
Kinematic intensities with the Lorentz-polarization factor, no thermal factor.

Cell and atoms:
```
data_Li3V2O6
_cell_length_a 4.987
_cell_length_b 5.091
_cell_length_c 5.213
_cell_angle_alpha 100.40
_cell_angle_beta 103.15
_cell_angle_gamma 117.62
_symmetry_space_group_name_H-M 'P 1'
_symmetry_Int_Tables_number 1
_symmetry_space_group_name_Hall 'P 1'
loop_
_atom_site_label
_atom_site_fract_x
_atom_site_fract_y
_atom_site_fract_z
Li1 0.000 0.000 0.000
Li2 0.325 0.620 0.033
Li3 0.674 0.380 0.971
V1 0.168 0.828 0.526
V2 0.818 0.169 0.469
O1 0.047 0.430 0.271
O2 0.199 0.195 0.735
O3 0.409 0.037 0.270
O4 0.578 0.959 0.723
O5 0.802 0.796 0.253
O6 0.963 0.592 0.725
```

The 6 most intense peaks (2θ = 10–90°), by intensity:
- 18.53°, rel. 100, hkl 0 0 1
- 41.48°, rel. 45, hkl 1 1 -2
- 43.60°, rel. 43, hkl -1 2 1
- 22.88°, rel. 42, hkl 1 0 -1
- 20.62°, rel. 41, hkl 1 -1 0
- 45.66°, rel. 35, hkl 2 -1 1

# Li3V6O13
Theoretical powder diffraction line list, CuKα. Input: a DFT-relaxed cell (GGA+U, Alexandria).
Kinematic intensities with the Lorentz-polarization factor, no thermal factor.

Cell and atoms:
```
data_Li3V6O13
_cell_length_a 12.017
_cell_length_b 4.029
_cell_length_c 10.298
_cell_angle_alpha 90.00
_cell_angle_beta 100.67
_cell_angle_gamma 90.00
_symmetry_space_group_name_H-M 'C 1 m 1'
_symmetry_Int_Tables_number 8
_symmetry_space_group_name_Hall 'C -2y'
loop_
_atom_site_label
_atom_site_fract_x
_atom_site_fract_y
_atom_site_fract_z
Li1 0.000 0.000 0.000
Li2 0.066 0.000 0.414
Li3 0.138 0.000 0.825
V1 0.167 0.500 0.046
V2 0.224 0.500 0.411
V3 0.289 0.500 0.778
V4 0.350 0.000 0.049
V5 0.405 0.000 0.414
V6 0.471 0.000 0.778
O1 0.000 0.500 0.994
O2 0.072 0.500 0.413
O3 0.138 0.500 0.831
O4 0.180 0.000 0.021
O5 0.188 0.500 0.214
O6 0.240 0.000 0.413
O7 0.251 0.500 0.612
O8 0.310 0.000 0.817
O9 0.328 0.500 0.009
O10 0.383 0.500 0.413
O11 0.388 0.000 0.215
O12 0.451 0.000 0.610
O13 0.458 0.500 0.803
```

The 6 most intense peaks (2θ = 10–90°), by intensity:
- 23.33°, rel. 100, hkl 1 1 0
- 26.42°, rel. 87, hkl 0 0 3
- 31.81°, rel. 66, hkl 3 1 -1
- 15.00°, rel. 61, hkl 2 0 0
- 45.00°, rel. 60, hkl 0 2 0
- 45.28°, rel. 52, hkl 6 0 -1

# Li2V6O15
Theoretical powder diffraction line list, CuKα. Input: a DFT-relaxed cell (GGA+U, Alexandria).
Kinematic intensities with the Lorentz-polarization factor, no thermal factor.

Cell and atoms:
```
data_Li2V6O15
_cell_length_a 3.667
_cell_length_b 8.107
_cell_length_c 10.391
_cell_angle_alpha 67.35
_cell_angle_beta 89.99
_cell_angle_gamma 76.94
_symmetry_space_group_name_H-M 'P -1'
_symmetry_Int_Tables_number 2
_symmetry_space_group_name_Hall '-P 1'
loop_
_atom_site_label
_atom_site_fract_x
_atom_site_fract_y
_atom_site_fract_z
Li1 0.010 0.479 0.320
V1 0.122 0.256 0.111
V2 0.289 0.923 0.414
V3 0.338 0.823 0.105
O1 0.000 0.500 0.000
O2 0.118 0.265 0.269
O3 0.186 0.129 0.957
O4 0.241 0.019 0.569
O5 0.268 0.964 0.230
O6 0.366 0.768 0.929
O7 0.401 0.698 0.493
O8 0.443 0.612 0.236
```

The 6 most intense peaks (2θ = 10–90°), by intensity:
- 12.20°, rel. 100, hkl 0 1 0
- 25.88°, rel. 78, hkl 1 1 1
- 29.11°, rel. 39, hkl 0 2 3
- 29.60°, rel. 36, hkl 0 2 -1
- 49.72°, rel. 31, hkl 2 1 0
- 31.86°, rel. 24, hkl 1 2 2

# LiV3O6
Theoretical powder diffraction line list, CuKα. Input: a DFT-relaxed cell (GGA+U, Alexandria).
Kinematic intensities with the Lorentz-polarization factor, no thermal factor.

Cell and atoms:
```
data_LiV3O6
_cell_length_a 5.008
_cell_length_b 5.117
_cell_length_c 5.313
_cell_angle_alpha 104.15
_cell_angle_beta 107.11
_cell_angle_gamma 111.20
_symmetry_space_group_name_H-M 'P 1'
_symmetry_Int_Tables_number 1
_symmetry_space_group_name_Hall 'P 1'
loop_
_atom_site_label
_atom_site_fract_x
_atom_site_fract_y
_atom_site_fract_z
Li1 0.000 0.000 0.000
V1 0.182 0.805 0.515
V2 0.376 0.627 0.032
V3 0.530 0.426 0.534
O1 0.176 0.423 0.250
O2 0.314 0.250 0.738
O3 0.373 0.995 0.288
O4 0.549 0.804 0.785
O5 0.741 0.683 0.284
O6 0.962 0.582 0.740
```

The 6 most intense peaks (2θ = 10–90°), by intensity:
- 21.00°, rel. 100, hkl 1 0 0
- 20.25°, rel. 94, hkl 0 1 0
- 38.10°, rel. 71, hkl 1 1 -2
- 44.67°, rel. 55, hkl -1 2 1
- 29.32°, rel. 53, hkl 1 -1 1
- 28.07°, rel. 52, hkl -1 1 1

# Li4V7O12
Theoretical powder diffraction line list, CuKα. Input: a DFT-relaxed cell (GGA+U, Alexandria).
Kinematic intensities with the Lorentz-polarization factor, no thermal factor.

Cell and atoms:
```
data_Li4V7O12
_cell_length_a 5.239
_cell_length_b 8.949
_cell_length_c 9.933
_cell_angle_alpha 90.00
_cell_angle_beta 100.67
_cell_angle_gamma 90.00
_symmetry_space_group_name_H-M 'P 1 21 1'
_symmetry_Int_Tables_number 4
_symmetry_space_group_name_Hall 'P 2yb'
loop_
_atom_site_label
_atom_site_fract_x
_atom_site_fract_y
_atom_site_fract_z
Li1 0.006 0.000 0.244
Li2 0.251 0.008 0.997
Li3 0.486 0.011 0.757
Li4 0.492 0.174 0.241
V1 0.004 0.853 0.759
V2 0.242 0.177 0.502
V3 0.242 0.668 0.002
V4 0.246 0.838 0.496
V5 0.249 0.334 0.994
V6 0.252 0.523 0.496
V7 0.492 0.844 0.242
O1 0.114 0.683 0.624
O2 0.118 0.184 0.119
O3 0.126 0.002 0.616
O4 0.135 0.492 0.115
O5 0.143 0.836 0.121
O6 0.151 0.353 0.616
O7 0.355 0.346 0.379
O8 0.359 0.830 0.876
O9 0.364 0.497 0.876
O10 0.373 0.009 0.380
O11 0.402 0.180 0.885
O12 0.406 0.683 0.378
```

The 6 most intense peaks (2θ = 10–90°), by intensity:
- 42.64°, rel. 100, hkl 2 0 2
- 61.54°, rel. 27, hkl 2 0 -6
- 18.18°, rel. 26, hkl 0 0 2
- 62.24°, rel. 26, hkl 1 3 5
- 23.21°, rel. 20, hkl 1 1 1
- 19.85°, rel. 17, hkl 0 2 0